No. 1
Simulated powder diffraction line list
Compound: BaZr2F10
Radiation: copper Kα
Structure: DFT lattice parameters and positions (PBE)
Lines closer than 0.1° are merged.

The 6 most intense peaks (5 to 70 degrees two-theta), in order of rising 2θ:
2θ (°), I/Imax
22.31, 100
23.41, 100
25.89, 41
28.79, 28
32.49, 37
43.84, 62

Atomic structure:
```
BaZr2F10
1.0
2.9625 -7.5764 0.0000
2.9625 7.5764 0.0000
-2.5480 0.0000 8.2412
Ba Zr F
2 4 20
direct
0.0702 0.9298 0.7500 Ba
0.9298 0.0702 0.2500 Ba
0.1641 0.4754 0.9008 Zr
0.4754 0.1641 0.4008 Zr
0.5246 0.8359 0.5992 Zr
0.8359 0.5246 0.0992 Zr
0.0601 0.6591 0.9354 F
0.1781 0.2681 0.9962 F
0.1826 0.3264 0.7127 F
0.2089 0.7911 0.2500 F
0.2237 0.5209 0.4273 F
0.2681 0.1781 0.4962 F
0.2870 0.7130 0.7500 F
0.3264 0.1826 0.2127 F
0.3409 0.9399 0.5646 F
0.4791 0.7763 0.0727 F
0.5209 0.2237 0.9273 F
0.6591 0.0601 0.4354 F
0.6736 0.8174 0.7873 F
0.7130 0.2870 0.2500 F
0.7319 0.8219 0.5038 F
0.7763 0.4791 0.5727 F
0.7911 0.2089 0.7500 F
0.8174 0.6736 0.2873 F
0.8219 0.7319 0.0038 F
0.9399 0.3409 0.0646 F
```


No. 2
Simulated powder diffraction line list
Compound: Ba7Fe4Ge9
Radiation: copper Kα
Structure: DFT lattice parameters and positions (PBE)
Lines closer than 0.1° are merged.

The 6 most intense peaks (5 to 70 degrees two-theta), in order of rising 2θ:
2θ (°), I/Imax
27.47, 31
27.76, 46
30.29, 100
34.47, 39
42.17, 25
55.56, 24

Atomic structure:
```
Ba7Fe4Ge9
1.0
0.0000 12.2544 4.4151
5.2043 0.0000 4.4151
5.2043 12.2544 0.0000
Ba Fe Ge
7 4 9
direct
0.0000 0.0000 0.0000 Ba
0.0005 0.6590 0.7910 Ba
0.0777 0.0777 0.4223 Ba
0.2090 0.4505 0.9995 Ba
0.4505 0.2090 0.3410 Ba
0.5777 0.5777 0.9223 Ba
0.6590 0.0005 0.5495 Ba
0.0223 0.6367 0.3633 Fe
0.5518 0.6631 0.3369 Fe
0.6367 0.0223 0.9777 Fe
0.6631 0.5518 0.4482 Fe
0.1165 0.5386 0.4614 Ge
0.2166 0.9167 0.0833 Ge
0.3824 0.3824 0.6176 Ge
0.4224 0.7966 0.5776 Ge
0.4333 0.7383 0.2617 Ge
0.5386 0.1165 0.8835 Ge
0.7383 0.4333 0.5667 Ge
0.7966 0.4224 0.2034 Ge
0.9167 0.2166 0.7834 Ge
```


No. 3
Simulated powder diffraction line list
Compound: BaLiFeRe
Radiation: copper Kα
Structure: DFT lattice parameters and positions (PBE)
Lines closer than 0.1° are merged.

The 6 most intense peaks (5 to 70 degrees two-theta), in order of rising 2θ:
2θ (°), I/Imax
26.39, 55
37.67, 100
46.58, 16
54.33, 17
61.38, 22
67.99, 35

Atomic structure:
```
BaLiFeRe
1.0
6.7547 0.0000 0.0000
0.0000 6.7547 0.0000
0.0000 0.0000 6.7547
Ba Li Fe Re
4 4 4 4
direct
0.0000 0.0000 0.0000 Ba
0.0000 0.5000 0.5000 Ba
0.5000 0.0000 0.5000 Ba
0.5000 0.5000 0.0000 Ba
0.2500 0.2500 0.2500 Li
0.2500 0.7500 0.7500 Li
0.7500 0.2500 0.7500 Li
0.7500 0.7500 0.2500 Li
0.2500 0.2500 0.7500 Fe
0.2500 0.7500 0.2500 Fe
0.7500 0.2500 0.2500 Fe
0.7500 0.7500 0.7500 Fe
0.0000 0.0000 0.5000 Re
0.0000 0.5000 0.0000 Re
0.5000 0.0000 0.0000 Re
0.5000 0.5000 0.5000 Re
```


No. 4
Simulated powder diffraction line list
Compound: Ba2NbFeS6
Radiation: copper Kα
Structure: DFT lattice parameters and positions (PBE)
Lines closer than 0.1° are merged.

The 6 most intense peaks (5 to 70 degrees two-theta), in order of rising 2θ:
2θ (°), I/Imax
25.91, 100
27.41, 75
38.07, 89
47.55, 38
50.56, 37
56.56, 30

Atomic structure:
```
Ba2NbFeS6
1.0
6.5086 0.0000 0.0000
-3.2543 5.6366 0.0000
0.0000 0.0000 13.0181
Ba Nb Fe S
4 2 2 12
direct
0.3333 0.6667 0.0745 Ba
0.3333 0.6667 0.4255 Ba
0.6667 0.3333 0.5745 Ba
0.6667 0.3333 0.9255 Ba
0.3333 0.6667 0.7500 Nb
0.6667 0.3333 0.2500 Nb
0.0000 0.0000 0.2500 Fe
0.0000 0.0000 0.7500 Fe
0.1622 0.3283 0.6319 S
0.1622 0.8339 0.8681 S
0.1661 0.3283 0.8681 S
0.1661 0.8378 0.6319 S
0.3283 0.1622 0.1319 S
0.3283 0.1661 0.3681 S
0.6717 0.8339 0.6319 S
0.6717 0.8378 0.8681 S
0.8339 0.1622 0.3681 S
0.8339 0.6717 0.1319 S
0.8378 0.1661 0.1319 S
0.8378 0.6717 0.3681 S
```


No. 5
Simulated powder diffraction line list
Compound: Ba3Fe2Ni2
Radiation: copper Kα
Structure: DFT lattice parameters and positions (PBE)
Lines closer than 0.1° are merged.

The 6 most intense peaks (5 to 70 degrees two-theta), in order of rising 2θ:
2θ (°), I/Imax
19.91, 19
26.20, 26
34.17, 89
34.30, 100
49.19, 31
61.37, 49

Atomic structure:
```
Ba3Fe2Ni2
1.0
2.6146 1.5096 8.5867
-2.6146 1.5096 8.5867
0.0000 -3.0191 8.5867
Ba Fe Ni
3 2 2
direct
0.0000 0.0000 0.0000 Ba
0.2404 0.2404 0.2404 Ba
0.4810 0.4810 0.4810 Ba
0.1116 0.1116 0.1116 Fe
0.6262 0.6262 0.6262 Fe
0.3652 0.3652 0.3652 Ni
0.8633 0.8633 0.8633 Ni
```


No. 6
Simulated powder diffraction line list
Compound: Ba2FeOsS6
Radiation: copper Kα
Structure: DFT lattice parameters and positions (PBE)
Lines closer than 0.1° are merged.

The 6 most intense peaks (5 to 70 degrees two-theta), in order of rising 2θ:
2θ (°), I/Imax
25.52, 100
28.50, 55
31.54, 40
40.75, 31
43.03, 33
48.70, 51

Atomic structure:
```
Ba2FeOsS6
1.0
6.2626 0.0000 0.0000
0.0001 6.2637 0.0000
3.1220 3.1307 5.6725
Ba Fe Os S
2 1 1 6
direct
0.2500 0.2503 0.0000 Ba
0.7500 0.7497 0.0000 Ba
0.0000 0.5000 0.5000 Fe
0.5000 0.0000 0.5000 Os
0.1652 0.8192 0.5002 S
0.2830 0.7834 0.9341 S
0.3195 0.3348 0.4996 S
0.6805 0.6652 0.5004 S
0.7170 0.2166 0.0659 S
0.8348 0.1808 0.4998 S
```


No. 7
Simulated powder diffraction line list
Compound: BaFeP3
Radiation: copper Kα
Structure: DFT lattice parameters and positions (PBE)
Lines closer than 0.1° are merged.

The 6 most intense peaks (5 to 70 degrees two-theta), in order of rising 2θ:
2θ (°), I/Imax
23.03, 40
24.87, 23
28.76, 100
37.87, 22
48.88, 18
52.01, 17

Atomic structure:
```
BaFeP3
1.0
2.6139 -7.3693 0.0000
2.6139 7.3693 0.0000
0.0000 0.0000 6.2176
Ba Fe P
2 2 6
direct
0.1154 0.8846 0.7500 Ba
0.8846 0.1154 0.2500 Ba
0.4092 0.5908 0.7500 Fe
0.5908 0.4092 0.2500 Fe
0.0058 0.3864 0.7500 P
0.3864 0.0058 0.2500 P
0.5000 0.5000 0.0000 P
0.5000 0.5000 0.5000 P
0.6136 0.9942 0.7500 P
0.9942 0.6136 0.2500 P
```


No. 8
Simulated powder diffraction line list
Compound: BaFePb2
Radiation: copper Kα
Structure: DFT lattice parameters and positions (PBE)
Lines closer than 0.1° are merged.

The 6 most intense peaks (5 to 70 degrees two-theta), in order of rising 2θ:
2θ (°), I/Imax
19.59, 16
32.26, 100
38.02, 10
46.26, 19
57.52, 39
67.50, 12

Atomic structure:
```
BaFePb2
1.0
7.8495 0.0000 0.0000
0.0000 7.8495 0.0000
0.0000 0.0000 7.8495
Ba Fe Pb
4 4 8
direct
0.0000 0.0000 0.0000 Ba
0.0000 0.5000 0.5000 Ba
0.5000 0.0000 0.5000 Ba
0.5000 0.5000 0.0000 Ba
0.2500 0.2500 0.2500 Fe
0.2500 0.7500 0.7500 Fe
0.7500 0.2500 0.7500 Fe
0.7500 0.7500 0.2500 Fe
0.0000 0.0000 0.5000 Pb
0.0000 0.5000 0.0000 Pb
0.2500 0.2500 0.7500 Pb
0.2500 0.7500 0.2500 Pb
0.5000 0.0000 0.0000 Pb
0.5000 0.5000 0.5000 Pb
0.7500 0.2500 0.2500 Pb
0.7500 0.7500 0.7500 Pb
```